No. 1
The following is a simulated powder X-ray diffraction pattern of Li2Nd2ErPb2. It was derived from the PBE geometry in Alexandria, using λ = 1.5418 Å (Cu Kα).

Top 10 peaks for 15 to 90 degrees two-theta, in order of rising 2θ:
21.4 deg, I 52, hkl 1 0 1; 22.1 deg, I 27, hkl 0 1 2; 31.0 deg, I 99, hkl 1 0 7; 33.5 deg, I 85, hkl 0 1 8; 37.1 deg, I 100, hkl 1 1 0; 49.1 deg, I 28, hkl 0 2 7; 50.9 deg, I 29, hkl 2 0 8; 63.2 deg, I 27, hkl 2 1 7; 63.3 deg, I 38, hkl 1 1 15; 64.6 deg, I 27, hkl 1 2 8

Atomic structure:
```
data_Li2Nd2ErPb2
_space_group_name_H-M_alt 'R -3 m'
_space_group_IT_number 166
_space_group_name_Hall '-R 3 2"'
_cell_length_a 4.8443
_cell_length_b 4.8443
_cell_length_c 27.7382
_cell_angle_alpha 90.00
_cell_angle_beta 90.00
_cell_angle_gamma 120.00
loop_
_atom_site_label
_atom_site_fract_x
_atom_site_fract_y
_atom_site_fract_z
Li1 0.0000 0.0000 0.1064
Nd1 0.0000 0.0000 0.3726
Er1 0.0000 0.0000 0.5000
Pb1 0.0000 0.0000 0.2316
```

***

No. 2
The following is a simulated powder X-ray diffraction pattern of LiEr6Ni. It was derived from the PBE geometry in Alexandria, using λ = 1.5418 Å (Cu Kα).

Top 10 peaks for 15 to 90 degrees two-theta, in order of rising 2θ:
16.0 deg, I 7, hkl 0 1 0; 26.4 deg, I 15, hkl 1 1 -1; 30.6 deg, I 100, hkl 0 0 2; 40.9 deg, I 17, hkl 1 1 1; 46.6 deg, I 16, hkl -3 3 1; 54.4 deg, I 18, hkl 2 -1 2; 56.8 deg, I 24, hkl 3 0 -4; 63.7 deg, I 5, hkl 0 0 4; 82.5 deg, I 6, hkl 3 -3 3; 88.5 deg, I 5, hkl 2 -1 4

Atomic structure:
```
data_LiEr6Ni
_space_group_name_H-M_alt 'P -1'
_space_group_IT_number 2
_cell_length_a 6.7411
_cell_length_b 6.7453
_cell_length_c 7.0203
_cell_angle_alpha 90.07
_cell_angle_beta 118.63
_cell_angle_gamma 119.95
loop_
_space_group_symop_operation_xyz
'x,y,z'
'-x,-y,-z'
loop_
_atom_site_label
_atom_site_fract_x
_atom_site_fract_y
_atom_site_fract_z
Li1 0.0000 0.0000 0.0000
Er1 0.1795 0.4596 0.2553
Er2 0.2036 0.2803 0.7447
Er3 0.4645 0.9236 0.7447
Ni1 0.0000 0.5000 0.5000
```

***

No. 3
The following is a simulated powder X-ray diffraction pattern of LiEr4Ni. It was derived from the PBE geometry in Alexandria, using λ = 1.5418 Å (Cu Kα).

Top 10 peaks for 15 to 90 degrees two-theta, in order of rising 2θ:
28.2 deg, I 100, hkl 2 0 2; 29.7 deg, I 26, hkl 2 2 0; 33.3 deg, I 34, hkl 3 1 0; 38.0 deg, I 14, hkl 0 0 4; 38.5 deg, I 16, hkl 3 1 2; 42.5 deg, I 11, hkl 4 0 0; 49.4 deg, I 32, hkl 3 3 2; 51.4 deg, I 14, hkl 3 1 4; 58.7 deg, I 14, hkl 5 1 2; 63.8 deg, I 12, hkl 5 3 0

Atomic structure:
```
data_LiEr4Ni
_space_group_name_H-M_alt 'I 41 m d'
_space_group_IT_number 109
_space_group_name_Hall 'I 4bw -2'
_cell_length_a 8.5031
_cell_length_b 8.5031
_cell_length_c 9.4714
_cell_angle_alpha 90.00
_cell_angle_beta 90.00
_cell_angle_gamma 90.00
loop_
_atom_site_label
_atom_site_fract_x
_atom_site_fract_y
_atom_site_fract_z
Li1 0.0000 0.0000 0.0000
Er1 0.0000 0.1889 0.2807
Er2 0.0000 0.1988 0.7345
Ni1 0.0000 0.0000 0.5044
```

***

No. 4
The following is a simulated powder X-ray diffraction pattern of Li3ErNp2S6. It was derived from the PBE geometry in Alexandria, using λ = 1.5418 Å (Cu Kα).

Top 10 peaks for 15 to 90 degrees two-theta, in order of rising 2θ:
26.7 deg, I 88, hkl 1 3 0; 28.0 deg, I 40, hkl 2 0 0; 32.8 deg, I 100, hkl 1 3 1; 36.0 deg, I 42, hkl 2 0 1; 43.5 deg, I 24, hkl 1 3 2; 46.4 deg, I 37, hkl 0 6 0; 47.7 deg, I 34, hkl 2 0 2; 48.8 deg, I 35, hkl 0 6 1; 58.0 deg, I 19, hkl 4 0 0; 79.2 deg, I 25, hkl 3 3 3

Atomic structure:
```
data_Li3ErNp2S6
_space_group_name_H-M_alt 'C 1 2/m 1'
_space_group_IT_number 12
_cell_length_a 6.7794
_cell_length_b 11.7411
_cell_length_c 6.5542
_cell_angle_alpha 90.00
_cell_angle_beta 110.17
_cell_angle_gamma 90.00
loop_
_space_group_symop_operation_xyz
'x,y,z'
'-x,-y,-z'
'-x,y,-z'
'x,-y,z'
'x+1/2,y+1/2,z'
'-x+1/2,-y+1/2,-z'
'-x+1/2,y+1/2,-z'
'x+1/2,-y+1/2,z'
loop_
_atom_site_label
_atom_site_fract_x
_atom_site_fract_y
_atom_site_fract_z
Li1 0.0000 0.0000 0.0000
Li2 0.0000 0.3352 0.0000
Er1 0.0000 0.5000 0.5000
Np1 0.0000 0.1668 0.5000
S1 0.2472 0.5000 0.2483
S2 0.2504 0.1656 0.2483
```

***

No. 5
The following is a simulated powder X-ray diffraction pattern of LiErNpS3. It was derived from the PBE geometry in Alexandria, using λ = 1.5418 Å (Cu Kα).

Top 10 peaks for 15 to 90 degrees two-theta, in order of rising 2θ:
21.8 deg, I 45, hkl 0 0 2; 22.7 deg, I 24, hkl 2 0 0; 22.9 deg, I 29, hkl 2 0 -1; 25.9 deg, I 75, hkl 0 1 1; 27.4 deg, I 28, hkl 2 0 1; 27.9 deg, I 25, hkl 2 0 -2; 32.9 deg, I 64, hkl 2 1 0; 33.0 deg, I 100, hkl 0 0 3; 42.7 deg, I 38, hkl 2 1 2; 43.3 deg, I 35, hkl 2 1 -3

Atomic structure:
```
data_LiErNpS3
_space_group_name_H-M_alt 'P 1 21/m 1'
_space_group_IT_number 11
_cell_length_a 8.0292
_cell_length_b 3.7935
_cell_length_c 8.3500
_cell_angle_alpha 90.00
_cell_angle_beta 102.91
_cell_angle_gamma 90.00
loop_
_space_group_symop_operation_xyz
'x,y,z'
'-x,-y,-z'
'-x,y+1/2,-z'
'x,-y+1/2,z'
loop_
_atom_site_label
_atom_site_fract_x
_atom_site_fract_y
_atom_site_fract_z
Li1 0.0870 0.2500 0.0794
Er1 0.3367 0.7500 0.3315
Np1 0.1746 0.2500 0.7109
S1 0.1010 0.2500 0.3631
S2 0.2186 0.7500 0.9930
S3 0.4241 0.7500 0.6675
```

***

No. 6
The following is a simulated powder X-ray diffraction pattern of LiErO2. It was derived from the PBE geometry in Alexandria, using λ = 1.5418 Å (Cu Kα).

Top 10 peaks for 15 to 90 degrees two-theta, in order of rising 2θ:
21.9 deg, I 100, hkl 1 0 1; 32.9 deg, I 26, hkl 1 0 3; 33.5 deg, I 47, hkl 1 1 2; 34.5 deg, I 22, hkl 0 0 4; 40.9 deg, I 29, hkl 2 0 0; 46.9 deg, I 27, hkl 2 1 1; 48.4 deg, I 15, hkl 1 0 5; 53.5 deg, I 14, hkl 2 1 3; 54.6 deg, I 23, hkl 2 0 4; 69.8 deg, I 13, hkl 3 1 2

Atomic structure:
```
data_LiErO2
_space_group_name_H-M_alt 'I 41/a m d'
_space_group_IT_number 141
_cell_length_a 4.4107
_cell_length_b 4.4107
_cell_length_c 10.3884
_cell_angle_alpha 90.00
_cell_angle_beta 90.00
_cell_angle_gamma 90.00
loop_
_space_group_symop_operation_xyz
'x,y,z'
'-x,-y,-z'
'-y+1/4,x+3/4,z+1/4'
'y+1/4,-x+3/4,-z+1/4'
'-x+1/2,-y,z+1/2'
'x+1/2,y,-z+1/2'
'y+1/4,-x+1/4,z+3/4'
'-y+1/4,x+1/4,-z+3/4'
'x,-y,-z'
'-x,y,z'
'-y+1/4,-x+1/4,-z+3/4'
'y+1/4,x+1/4,z+3/4'
'-x+1/2,y,-z+1/2'
'x+1/2,-y,z+1/2'
'y+1/4,x+3/4,-z+1/4'
'-y+1/4,-x+3/4,z+1/4'
'x+1/2,y+1/2,z+1/2'
'-x+1/2,-y+1/2,-z+1/2'
'-y+3/4,x+1/4,z+3/4'
'y+3/4,-x+1/4,-z+3/4'
'-x,-y+1/2,z'
'x,y+1/2,-z'
'y+3/4,-x+3/4,z+1/4'
'-y+3/4,x+3/4,-z+1/4'
'x+1/2,-y+1/2,-z+1/2'
'-x+1/2,y+1/2,z+1/2'
'-y+3/4,-x+3/4,-z+1/4'
'y+3/4,x+3/4,z+1/4'
'-x,y+1/2,-z'
'x,-y+1/2,z'
'y+3/4,x+1/4,-z+3/4'
'-y+3/4,-x+1/4,z+3/4'
loop_
_atom_site_label
_atom_site_fract_x
_atom_site_fract_y
_atom_site_fract_z
Li1 0.0000 0.2500 0.3750
Er1 0.0000 0.2500 0.8750
O1 0.0000 0.2500 0.0960
```

***

No. 7
The following is a simulated powder X-ray diffraction pattern of LiErP4O12. It was derived from the PBE geometry in Alexandria, using λ = 1.5418 Å (Cu Kα).

Top 10 peaks for 15 to 90 degrees two-theta, in order of rising 2θ:
15.5 deg, I 53, hkl 1 1 -1; 20.5 deg, I 100, hkl 3 1 -1; 22.8 deg, I 68, hkl 0 0 2; 23.2 deg, I 19, hkl 1 1 -2; 27.5 deg, I 30, hkl 2 2 -1; 28.5 deg, I 14, hkl 2 2 0; 30.5 deg, I 23, hkl 3 1 -3; 31.2 deg, I 41, hkl 3 1 1; 32.8 deg, I 47, hkl 6 0 -2; 34.1 deg, I 18, hkl 0 2 2

Atomic structure:
```
data_LiErP4O12
_space_group_name_H-M_alt 'C 1 2/c 1'
_space_group_IT_number 15
_cell_length_a 16.3735
_cell_length_b 7.1210
_cell_length_c 9.6509
_cell_angle_alpha 90.00
_cell_angle_beta 125.94
_cell_angle_gamma 90.00
loop_
_space_group_symop_operation_xyz
'x,y,z'
'-x,-y,-z'
'-x,y,-z+1/2'
'x,-y,z+1/2'
'x+1/2,y+1/2,z'
'-x+1/2,-y+1/2,-z'
'-x+1/2,y+1/2,-z+1/2'
'x+1/2,-y+1/2,z+1/2'
loop_
_atom_site_label
_atom_site_fract_x
_atom_site_fract_y
_atom_site_fract_z
Li1 0.0000 0.2074 0.2500
Er1 0.0000 0.2933 0.7500
P1 0.1366 0.0499 0.6171
P2 0.1447 0.3523 0.1921
O1 0.0665 0.0039 0.4288
O2 0.0706 0.4215 0.2246
O3 0.1116 0.2103 0.6865
O4 0.1238 0.3835 0.0204
O5 0.1545 0.1297 0.2327
O6 0.2458 0.0764 0.6547
```

***

No. 8
The following is a simulated powder X-ray diffraction pattern of Li2ErPuO6. It was derived from the PBE geometry in Alexandria, using λ = 1.5418 Å (Cu Kα).

Top 10 peaks for 15 to 90 degrees two-theta, in order of rising 2θ:
22.4 deg, I 100, hkl 0 1 2; 30.3 deg, I 46, hkl 1 0 4; 33.6 deg, I 29, hkl 1 1 0; 40.8 deg, I 18, hkl 2 0 2; 45.8 deg, I 18, hkl 0 2 4; 49.3 deg, I 31, hkl 2 -1 6; 51.5 deg, I 10, hkl 0 1 8; 53.8 deg, I 18, hkl 3 -2 2; 58.0 deg, I 16, hkl 3 -1 4; 83.8 deg, I 11, hkl 2 1 10

Atomic structure:
```
data_Li2ErPuO6
_space_group_name_H-M_alt 'R -3'
_space_group_IT_number 148
_space_group_name_Hall '-R 3'
_cell_length_a 5.3377
_cell_length_b 5.3377
_cell_length_c 15.3655
_cell_angle_alpha 90.00
_cell_angle_beta 90.00
_cell_angle_gamma 120.00
loop_
_atom_site_label
_atom_site_fract_x
_atom_site_fract_y
_atom_site_fract_z
Li1 0.0000 0.0000 0.2021
Er1 0.0000 0.0000 0.0000
Pu1 0.0000 0.0000 0.5000
O1 0.0069 0.3667 0.2396
```

***

No. 9
The following is a simulated powder X-ray diffraction pattern of LiEr6Ta2O14. It was derived from the PBE geometry in Alexandria, using λ = 1.5418 Å (Cu Kα).

Top 10 peaks for 15 to 90 degrees two-theta, in order of rising 2θ:
28.6 deg, I 93, hkl 2 2 0; 29.7 deg, I 100, hkl 0 2 2; 33.1 deg, I 32, hkl 0 4 0; 34.1 deg, I 21, hkl 2 0 -2; 34.3 deg, I 22, hkl 2 0 2; 48.3 deg, I 49, hkl 2 4 2; 50.6 deg, I 18, hkl 0 0 4; 56.4 deg, I 15, hkl 2 6 0; 57.1 deg, I 20, hkl 0 6 2; 59.2 deg, I 14, hkl 2 2 4

Atomic structure:
```
data_LiEr6Ta2O14
_space_group_name_H-M_alt 'C 1 m 1'
_space_group_IT_number 8
_cell_length_a 7.6302
_cell_length_b 10.8211
_cell_length_c 7.2214
_cell_angle_alpha 90.00
_cell_angle_beta 90.20
_cell_angle_gamma 90.00
loop_
_space_group_symop_operation_xyz
'x,y,z'
'x,-y,z'
'x+1/2,y+1/2,z'
'x+1/2,-y+1/2,z'
loop_
_atom_site_label
_atom_site_fract_x
_atom_site_fract_y
_atom_site_fract_z
Li1 0.0000 0.0000 0.0000
Er1 0.0273 0.2608 0.4816
Er2 0.1102 0.2408 0.9806
Er3 0.2352 0.5000 0.2476
Er4 0.2409 0.5000 0.7217
Ta1 0.3076 0.0000 0.2507
Ta2 0.3085 0.0000 0.7123
O1 0.0101 0.3712 0.1935
O2 0.0126 0.3720 0.7696
O3 0.1477 0.1400 0.2673
O4 0.1524 0.1417 0.6931
O5 0.2375 0.0000 0.9806
O6 0.2906 0.3664 0.4825
O7 0.3427 0.3708 0.9825
O8 0.4578 0.0000 0.4809
```